Starting from the PBE geometry in Alexandria, the powder diffraction line list of TiPd2Pb2 was simulated for Cu Kα, 1.54184 Å.
Intensities are scaled so that the largest is 100.

The 10 most intense peaks (10° ≤ 2θ ≤ 90°), by angle:
18.11°, rel. 9, (1 1 0)
25.72°, rel. 15, (2 0 0)
32.95°, rel. 20, (2 0 1)
35.47°, rel. 100, (2 1 1)
41.18°, rel. 37, (0 0 2)
56.34°, rel. 11, (3 3 0)
58.86°, rel. 19, (4 1 1)
59.66°, rel. 14, (3 1 2)
71.32°, rel. 13, (2 1 3)
77.30°, rel. 9, (5 2 1)

Cell and atoms:
abc: 6.9268 6.9268 4.3871
angles: 90.00 90.00 90.00
Element x y z (fractional)
1 Ti 0.0000 0.0000 0.0000
2 Ti 0.5000 0.5000 0.0000
3 Pd 0.1382 0.3618 0.0000
4 Pd 0.3618 0.8618 0.0000
5 Pd 0.6382 0.1382 0.0000
6 Pd 0.8618 0.6382 0.0000
7 Pb 0.1765 0.6765 0.5000
8 Pb 0.3235 0.1765 0.5000
9 Pb 0.6765 0.8235 0.5000
10 Pb 0.8235 0.3235 0.5000